For InGaS3, a structure optimized by DFT (PBE) gives the theoretical powder diffraction line list in this record (Cu Kα (weighted mean of Kα1 and Kα2)).

The 10 most intense peaks (10° ≤ 2θ ≤ 80°), in order of falling intensity:
2θ (°)	I_rel	h k l
26.67	100	-1 1 1
46.56	92	3 3 1
23.09	82	0 0 4
28.16	58	-1 1 2
38.20	58	1 2 -4
17.27	39	0 0 3
37.93	30	2 1 5
30.72	29	-1 1 3
28.04	29	2 1 2
29.64	23	1 -1 2

Atomic structure:
```
data_InGaS3
_cell_length_a 6.7564
_cell_length_b 6.7574
_cell_length_c 15.5816
_cell_angle_alpha 81.41
_cell_angle_beta 85.33
_cell_angle_gamma 60.01
_symmetry_space_group_name_H-M 'P 1'
_symmetry_Int_Tables_number 1
loop_
_symmetry_equiv_pos_as_xyz
'x,y,z'
loop_
_atom_site_label
_atom_site_fract_x
_atom_site_fract_y
_atom_site_fract_z
_atom_site_occupancy
In1 0.0000 0.0000 0.0000 1
In2 0.0011 0.5733 0.2570 1
In3 0.3231 0.9265 0.2578 1
In4 0.3370 0.3343 0.0000 1
In5 0.6762 0.2473 0.2596 1
Ga1 0.0019 0.4364 0.6976 1
Ga2 0.3363 0.7666 0.6976 1
Ga3 0.3421 0.4875 0.5048 1
Ga4 0.6632 0.8430 0.5051 1
Ga5 0.6654 0.6680 0.0097 1
S1 0.0013 0.9404 0.1614 1
S2 0.0229 0.0885 0.7375 1
S3 0.3166 0.4391 0.7390 1
S4 0.3305 0.5572 0.3417 1
S5 0.3393 0.8127 0.5365 1
S6 0.3451 0.2794 0.1613 1
S7 0.3620 0.6883 0.9406 1
S8 0.6617 0.6213 0.1578 1
S9 0.6651 0.8844 0.3419 1
S10 0.6667 0.1563 0.5317 1
S11 0.6680 0.7380 0.7365 1
S12 0.6688 0.9960 0.9391 1
S13 0.9765 0.3801 0.9434 1
S14 0.9980 0.2231 0.3424 1
S15 0.9985 0.4972 0.5363 1
```


For InGaSb2, a structure optimized by DFT (PBE) gives the theoretical powder diffraction line list in this record (Cu Kα (weighted mean of Kα1 and Kα2)).

The 10 most intense peaks (10° ≤ 2θ ≤ 80°), in order of falling intensity:
2θ (°)	I_rel	h k l
23.95	100	1 0 1
39.68	51	1 1 2
46.72	33	2 1 1
39.49	27	2 0 0
71.75	17	3 1 2
47.04	15	1 0 3
63.05	12	2 1 3
57.08	9	2 2 0
72.13	8	2 0 4
76.76	7	3 2 1

Atomic structure:
```
data_InGaSb2
_cell_length_a 4.5638
_cell_length_b 4.5638
_cell_length_c 6.3960
_cell_angle_alpha 90.00
_cell_angle_beta 90.00
_cell_angle_gamma 90.00
_symmetry_space_group_name_H-M 'P -4 m 2'
_symmetry_Int_Tables_number 115
loop_
_symmetry_equiv_pos_as_xyz
'x,y,z'
'y,-x,-z'
'-x,-y,z'
'-y,x,-z'
'-x,y,z'
'-y,-x,-z'
'x,-y,z'
'y,x,-z'
loop_
_atom_site_label
_atom_site_fract_x
_atom_site_fract_y
_atom_site_fract_z
_atom_site_occupancy
In1 0.0000 0.0000 0.0000 1
Ga1 0.5000 0.5000 0.5000 1
Sb1 0.0000 0.5000 0.2667 1
```


For InGaSb2, a structure optimized by DFT (PBE) gives the theoretical powder diffraction line list in this record (Cu Kα (weighted mean of Kα1 and Kα2)).

The 10 most intense peaks (10° ≤ 2θ ≤ 80°), in order of falling intensity:
2θ (°)	I_rel	h k l
23.92	100	0 1 2
39.56	78	1 1 0
46.74	36	2 0 2
71.73	19	3 0 0
62.84	15	1 2 2
57.19	13	2 0 8
46.83	12	1 0 10
76.86	11	3 0 6
71.91	6	1 0 16
62.99	4	0 1 14

Atomic structure:
```
data_InGaSb2
_cell_length_a 4.5602
_cell_length_b 4.5602
_cell_length_c 22.2741
_cell_angle_alpha 90.00
_cell_angle_beta 90.00
_cell_angle_gamma 120.00
_symmetry_space_group_name_H-M 'R 3 m'
_symmetry_Int_Tables_number 160
_symmetry_space_group_name_Hall 'R 3 -2"'
loop_
_atom_site_label
_atom_site_fract_x
_atom_site_fract_y
_atom_site_fract_z
_atom_site_occupancy
In1 0.0000 0.0000 0.0000 1
Ga1 0.0000 0.0000 0.5003 1
Sb1 0.0000 0.0000 0.3796 1
Sb2 0.0000 0.0000 0.8709 1
```


For Sr3In3Ga2, a structure optimized by DFT (PBE) gives the theoretical powder diffraction line list in this record (Cu Kα (weighted mean of Kα1 and Kα2)).

The 10 most intense peaks (10° ≤ 2θ ≤ 80°), in order of falling intensity:
2θ (°)	I_rel	h k l
36.53	100	2 0 0
29.35	99	1 1 4
33.45	44	1 3 3
29.58	40	1 3 1
30.29	26	0 4 0
34.54	20	0 4 3
48.16	18	2 4 0
32.76	16	0 0 6
31.20	15	0 2 5
29.06	15	1 3 0

Atomic structure:
```
data_Sr3In3Ga2
_cell_length_a 4.9209
_cell_length_b 11.8016
_cell_length_c 16.4016
_cell_angle_alpha 90.00
_cell_angle_beta 90.00
_cell_angle_gamma 90.00
_symmetry_space_group_name_H-M 'C m c m'
_symmetry_Int_Tables_number 63
_symmetry_space_group_name_Hall '-C 2c 2'
loop_
_atom_site_label
_atom_site_fract_x
_atom_site_fract_y
_atom_site_fract_z
_atom_site_occupancy
Sr1 0.0000 0.0879 0.1093 1
Sr2 0.0000 0.3696 0.2500 1
In1 0.0000 0.3380 0.7500 1
In2 0.0000 0.3793 0.0350 1
Ga1 0.0000 0.2075 0.5997 1
```


For Sr11In3Ga4, a structure optimized by DFT (PBE) gives the theoretical powder diffraction line list in this record (Cu Kα (weighted mean of Kα1 and Kα2)).

The 10 most intense peaks (10° ≤ 2θ ≤ 80°), in order of falling intensity:
2θ (°)	I_rel	h k l
30.73	100	6 0 0
30.29	87	5 3 1
26.53	80	3 3 3
28.93	59	4 4 0
39.65	48	5 5 3
44.01	34	6 6 0
51.27	32	8 4 4
33.66	31	5 3 3
17.60	19	2 2 2
70.54	19	11 7 1

Atomic structure:
```
data_Sr11In3Ga4
_cell_length_a 17.4580
_cell_length_b 17.4580
_cell_length_c 17.4580
_cell_angle_alpha 90.00
_cell_angle_beta 90.00
_cell_angle_gamma 90.00
_symmetry_space_group_name_H-M 'F m -3 m'
_symmetry_Int_Tables_number 225
_symmetry_space_group_name_Hall '-F 4 2 3'
loop_
_atom_site_label
_atom_site_fract_x
_atom_site_fract_y
_atom_site_fract_z
_atom_site_occupancy
Sr1 0.0000 0.0000 0.0000 1
Sr2 0.0000 0.0000 0.5000 1
Sr3 0.0000 0.1677 0.1677 1
Sr4 0.1327 0.1327 0.3673 1
In1 0.0000 0.0000 0.2828 1
Ga1 0.1938 0.1938 0.1938 1
```


For In3GaTe4, a structure optimized by DFT (PBE) gives the theoretical powder diffraction line list in this record (Cu Kα (weighted mean of Kα1 and Kα2)).

The 10 most intense peaks (10° ≤ 2θ ≤ 80°), in order of falling intensity:
2θ (°)	I_rel	h k l
32.91	100	2 0 2
26.39	79	2 1 1
29.33	49	2 2 0
45.31	41	4 1 1
52.07	21	0 0 4
49.67	17	4 0 2
47.19	16	4 2 0
60.90	16	2 2 4
59.28	15	4 1 3
74.77	15	6 2 2

Atomic structure:
```
data_In3GaTe4
_cell_length_a 8.6139
_cell_length_b 8.6139
_cell_length_c 7.0201
_cell_angle_alpha 90.00
_cell_angle_beta 90.00
_cell_angle_gamma 90.00
_symmetry_space_group_name_H-M 'I -4 2 m'
_symmetry_Int_Tables_number 121
_symmetry_space_group_name_Hall 'I -4 2'
loop_
_atom_site_label
_atom_site_fract_x
_atom_site_fract_y
_atom_site_fract_z
_atom_site_occupancy
In1 0.0000 0.0000 0.0000 1
In2 0.0000 0.5000 0.0000 1
Ga1 0.0000 0.0000 0.5000 1
Te1 0.1758 0.1758 0.7329 1
```


For InGaTe2, a structure optimized by DFT (PBE) gives the theoretical powder diffraction line list in this record (Cu Kα (weighted mean of Kα1 and Kα2)).

The 10 most intense peaks (10° ≤ 2θ ≤ 80°), in order of falling intensity:
2θ (°)	I_rel	h k l
26.68	100	2 1 1
33.59	88	2 0 2
29.48	41	2 2 0
45.63	28	4 1 1
33.05	22	3 1 0
46.44	22	2 1 3
50.29	21	4 0 2
52.66	19	3 3 2
47.44	18	4 2 0
75.50	16	6 2 2

Atomic structure:
```
data_InGaTe2
_cell_length_a 8.5703
_cell_length_b 8.5703
_cell_length_c 6.8197
_cell_angle_alpha 90.00
_cell_angle_beta 90.00
_cell_angle_gamma 90.00
_symmetry_space_group_name_H-M 'I 4/m c m'
_symmetry_Int_Tables_number 140
_symmetry_space_group_name_Hall '-I 4 2c'
loop_
_atom_site_label
_atom_site_fract_x
_atom_site_fract_y
_atom_site_fract_z
_atom_site_occupancy
In1 0.0000 0.0000 0.2500 1
Ga1 0.0000 0.5000 0.2500 1
Te1 0.1713 0.3287 0.0000 1
```


For TlIn2GaTe4, a structure optimized by DFT (PBE) gives the theoretical powder diffraction line list in this record (Cu Kα (weighted mean of Kα1 and Kα2)).

The 10 most intense peaks (10° ≤ 2θ ≤ 80°), in order of falling intensity:
2θ (°)	I_rel	h k l
32.75	100	2 2 0
26.30	65	1 2 1
29.25	52	0 2 2
45.10	23	1 1 4
49.48	18	2 0 4
47.08	17	0 2 4
74.52	15	2 2 6
51.84	13	2 3 3
54.13	12	2 4 2
59.02	11	3 4 1

Atomic structure:
```
data_TlIn2GaTe4
_cell_length_a 7.0721
_cell_length_b 8.6284
_cell_length_c 8.6359
_cell_angle_alpha 90.00
_cell_angle_beta 90.00
_cell_angle_gamma 90.00
_symmetry_space_group_name_H-M 'I 2 2 2'
_symmetry_Int_Tables_number 23
loop_
_symmetry_equiv_pos_as_xyz
'x,y,z'
'-x,-y,z'
'x,-y,-z'
'-x,y,-z'
'x+1/2,y+1/2,z+1/2'
'-x+1/2,-y+1/2,z+1/2'
'x+1/2,-y+1/2,-z+1/2'
'-x+1/2,y+1/2,-z+1/2'
loop_
_atom_site_label
_atom_site_fract_x
_atom_site_fract_y
_atom_site_fract_z
_atom_site_occupancy
Tl1 0.0000 0.0000 0.0000 1
In1 0.0000 0.5000 0.0000 1
In2 0.0000 0.5000 0.5000 1
Ga1 0.0000 0.0000 0.5000 1
Te1 0.2317 0.1749 0.6747 1
```


For GaIr, a structure optimized by DFT (PBE) gives the theoretical powder diffraction line list in this record (Cu Kα (weighted mean of Kα1 and Kα2)).

The 6 most intense peaks (10° ≤ 2θ ≤ 80°), in order of falling intensity:
2θ (°)	I_rel	h k l
41.74	100	1 1 0
76.20	34	2 1 1
29.18	25	1 0 0
60.50	17	2 0 0
68.56	10	2 1 0
51.74	7	1 1 1

Atomic structure:
```
data_GaIr
_cell_length_a 3.0605
_cell_length_b 3.0605
_cell_length_c 3.0605
_cell_angle_alpha 90.00
_cell_angle_beta 90.00
_cell_angle_gamma 90.00
_symmetry_space_group_name_H-M 'P m -3 m'
_symmetry_Int_Tables_number 221
_symmetry_space_group_name_Hall '-P 4 2 3'
loop_
_atom_site_label
_atom_site_fract_x
_atom_site_fract_y
_atom_site_fract_z
_atom_site_occupancy
Ga1 0.0000 0.0000 0.0000 1
Ir1 0.5000 0.5000 0.5000 1
```


For Ga5Ir3, a structure optimized by DFT (PBE) gives the theoretical powder diffraction line list in this record (Cu Kα (weighted mean of Kα1 and Kα2)).

The 10 most intense peaks (10° ≤ 2θ ≤ 80°), in order of falling intensity:
2θ (°)	I_rel	h k l
39.05	100	2 1 3
43.51	93	2 2 0
23.91	60	1 0 3
50.28	39	3 0 3
63.24	30	4 0 0
30.41	24	2 0 0
68.62	23	2 1 9
37.97	19	1 1 5
36.37	17	2 1 2
59.85	16	1 0 9

Atomic structure:
```
data_Ga5Ir3
_cell_length_a 5.8786
_cell_length_b 5.8786
_cell_length_c 14.4239
_cell_angle_alpha 90.00
_cell_angle_beta 90.00
_cell_angle_gamma 90.00
_symmetry_space_group_name_H-M 'P -4 n 2'
_symmetry_Int_Tables_number 118
loop_
_symmetry_equiv_pos_as_xyz
'x,y,z'
'y,-x,-z'
'-x,-y,z'
'-y,x,-z'
'-x+1/2,y+1/2,z+1/2'
'-y+1/2,-x+1/2,-z+1/2'
'x+1/2,-y+1/2,z+1/2'
'y+1/2,x+1/2,-z+1/2'
loop_
_atom_site_label
_atom_site_fract_x
_atom_site_fract_y
_atom_site_fract_z
_atom_site_occupancy
Ga1 0.1507 0.2697 0.4484 1
Ga2 0.1577 0.8035 0.1513 1
Ga3 0.1708 0.6708 0.7500 1
Ir1 0.0000 0.0000 0.0000 1
Ir2 0.0000 0.0000 0.3287 1
Ir3 0.0000 0.5000 0.2500 1
Ir4 0.0000 0.5000 0.5863 1
```


For Ga2Ir, a structure optimized by DFT (PBE) gives the theoretical powder diffraction line list in this record (Cu Kα (weighted mean of Kα1 and Kα2)).

The 10 most intense peaks (10° ≤ 2θ ≤ 80°), in order of falling intensity:
2θ (°)	I_rel	h k l
42.15	100	1 5 1
40.58	91	1 1 4
45.22	55	1 3 4
24.96	52	1 1 1
46.11	43	2 0 0
27.14	31	0 4 0
48.41	28	0 6 3
27.85	25	0 2 3
69.09	24	2 6 3
74.31	19	1 5 7

Atomic structure:
```
data_Ga2Ir
_cell_length_a 3.9374
_cell_length_b 13.1402
_cell_length_c 11.0072
_cell_angle_alpha 90.00
_cell_angle_beta 90.00
_cell_angle_gamma 90.00
_symmetry_space_group_name_H-M 'C m c m'
_symmetry_Int_Tables_number 63
_symmetry_space_group_name_Hall '-C 2c 2'
loop_
_atom_site_label
_atom_site_fract_x
_atom_site_fract_y
_atom_site_fract_z
_atom_site_occupancy
Ga1 0.0000 0.0404 0.2500 1
Ga2 0.0000 0.1785 0.5176 1
Ga3 0.0000 0.2337 0.2500 1
Ga4 0.0000 0.4412 0.1059 1
Ir1 0.0000 0.1487 0.7500 1
Ir2 0.0000 0.3597 0.6228 1
```


For Ga5Ir3, a structure optimized by DFT (PBE) gives the theoretical powder diffraction line list in this record (Cu Kα (weighted mean of Kα1 and Kα2)).

The 10 most intense peaks (10° ≤ 2θ ≤ 80°), in order of falling intensity:
2θ (°)	I_rel	h k l
38.62	100	2 1 3
41.84	93	1 1 6
43.57	75	2 2 0
23.22	68	1 0 3
45.69	61	2 1 5
16.18	53	1 0 1
36.69	42	1 1 5
34.64	41	2 1 1
49.94	40	3 0 3
30.43	40	2 0 0

Atomic structure:
```
data_Ga5Ir3
_cell_length_a 5.8759
_cell_length_b 5.8759
_cell_length_c 15.1606
_cell_angle_alpha 90.00
_cell_angle_beta 90.00
_cell_angle_gamma 90.00
_symmetry_space_group_name_H-M 'P -4 n 2'
_symmetry_Int_Tables_number 118
loop_
_symmetry_equiv_pos_as_xyz
'x,y,z'
'y,-x,-z'
'-x,-y,z'
'-y,x,-z'
'-x+1/2,y+1/2,z+1/2'
'-y+1/2,-x+1/2,-z+1/2'
'x+1/2,-y+1/2,z+1/2'
'y+1/2,x+1/2,-z+1/2'
loop_
_atom_site_label
_atom_site_fract_x
_atom_site_fract_y
_atom_site_fract_z
_atom_site_occupancy
Ga1 0.1576 0.2585 0.0573 1
Ga2 0.1722 0.1868 0.6533 1
Ga3 0.1831 0.3169 0.2500 1
Ir1 0.0000 0.0000 0.1760 1
Ir2 0.0000 0.0000 0.5000 1
Ir3 0.0000 0.5000 0.5605 1
Ir4 0.0000 0.5000 0.7500 1
```